Simulated PXRD pattern
Compound: NaGa5O8
Radiation: CuKα
Structure: a PBE-relaxed structure

Structural model:
```
NaGa5O8
1.0
2.9999 1.7320 11.2050
-2.9999 1.7320 11.2050
0.0000 -3.4639 11.2050
Na Ga O
2 10 16
direct
0.0000 0.0000 0.0000
0.4801 0.4801 0.4801
0.1727 0.1727 0.1727
0.2379 0.7325 0.7325
0.2686 0.2686 0.2686
0.3942 0.3942 0.3942
0.4278 0.9099 0.9099
0.7325 0.2379 0.7325
0.7325 0.7325 0.2379
0.8210 0.8210 0.8210
0.9099 0.4278 0.9099
0.9099 0.9099 0.4278
0.0196 0.0196 0.5442
0.0196 0.5442 0.0196
0.0840 0.6345 0.6345
0.1172 0.1172 0.1172
0.2116 0.2116 0.7328
0.2116 0.7328 0.2116
0.4375 0.4375 0.9240
0.4375 0.9240 0.4375
0.5414 0.5414 0.5414
0.5442 0.0196 0.0196
0.6345 0.0840 0.6345
0.6345 0.6345 0.0840
0.7184 0.7184 0.7184
0.7328 0.2117 0.2116
0.9240 0.4375 0.4375
0.9267 0.9267 0.9267
```

Largest 6 diffraction maxima, low angle first, 2θ = 10–90°:
two_theta	I_rel
15.8	1000
34.6	396
38.5	310
39.4	452
58.7	292
61.9	401